Starting from a GGA+U-relaxed structure, the powder diffraction line list of YCrO4F was simulated for Cu Kα, 1.54184 Å.

Peak list (6 most intense, 2θ from 10° to 90°, by angle)
13.76 deg, d = 6.435 Å, intensity 689
19.90 deg, d = 4.463 Å, intensity 568
24.57 deg, d = 3.624 Å, intensity 1000
27.39 deg, d = 3.256 Å, intensity 433
29.38 deg, d = 3.040 Å, intensity 576
48.03 deg, d = 1.894 Å, intensity 413

Structural model:
```
YCrO4F
1.0
4.6580 -3.6236 0.0000
4.6580 3.6236 0.0000
-1.9249 0.0000 6.4351
Y Cr O F
2 2 8 2
Direct
0.2046 0.2046 0.1057
0.7954 0.7954 0.8943
0.3494 0.3494 0.7228
0.6506 0.6506 0.2772
0.1184 0.4825 0.8470
0.2597 0.2597 0.4751
0.4693 0.4693 0.2443
0.4825 0.1184 0.8470
0.5175 0.8816 0.1530
0.5307 0.5307 0.7557
0.7403 0.7403 0.5249
0.8816 0.5175 0.1530
0.0141 0.0141 0.8206
0.9859 0.9859 0.1794
```